This entry pairs a crystal structure of Zr3Cu with its computed X-ray powder pattern. Radiation: λ = 1.5418 Å (Cu Kα). Structure: a cell relaxed with PBE.

Peak list (6 most intense, 2θ from 5° to 70°, by angle)
2θ/deg	I (rel.)	h k l
20.60	2	1 0 0
29.29	1	1 1 0
36.08	100	1 1 1
41.91	49	2 0 0
47.13	1	2 1 0
60.76	31	2 2 0

Crystal structure
a b c (Å): 4.312 4.312 4.312
angles (deg): 90.00 90.00 90.00
Positions (direct):
Zr1 0.000 0.000 0.500
Zr2 0.000 0.500 0.000
Zr3 0.500 0.000 0.000
Cu1 0.500 0.500 0.500